[1]
# Tb3Fe2Si7
Calculated powder diffraction line list, CuKα. Input: a PBE-relaxed structure.
Intensities are scaled so that the largest is 100.

Atomic structure:
Cell: 4.095 12.450 12.450 Å, 18.68 90.00 90.00°
Fractional coordinates of all 12 atoms:
Tb1 0.000 0.000 0.000
Tb2 0.000 0.369 0.369
Tb3 0.500 0.685 0.685
Fe1 0.500 0.557 0.557
Fe2 0.500 0.811 0.811
Si1 0.000 0.176 0.176
Si2 0.000 0.595 0.595
Si3 0.000 0.774 0.774
Si4 0.500 0.095 0.095
Si5 0.500 0.273 0.273
Si6 0.500 0.464 0.464
Si7 0.500 0.904 0.904

Largest 10 diffraction maxima, by angle, 2θ from 10° to 80°:
two_theta	d (Å)	I_rel
21.70	4.095	28
22.89	3.885	44
24.57	3.623	43
31.31	2.857	48
36.19	2.482	100
36.57	2.457	70
39.85	2.262	24
44.23	2.048	32
44.87	2.020	29
59.21	1.560	34

[2]
# Ti2CuP2O10
Calculated powder diffraction line list, CuKα. Input: a PBE-relaxed structure.
Intensities are scaled so that the largest is 100.

Atomic structure:
Cell: 7.146 7.921 7.389 Å, 90.00 119.42 90.00°
Fractional coordinates of all 30 atoms:
Ti1 0.238 0.218 0.035
Ti2 0.238 0.282 0.535
Ti3 0.762 0.718 0.465
Ti4 0.762 0.782 0.965
Cu1 0.500 0.000 0.500
Cu2 0.500 0.500 0.000
P1 0.250 0.597 0.247
P2 0.250 0.903 0.747
P3 0.750 0.097 0.253
P4 0.750 0.403 0.753
O1 0.059 0.708 0.100
O2 0.059 0.792 0.600
O3 0.190 0.011 0.884
O4 0.190 0.489 0.384
O5 0.276 0.147 0.276
O6 0.276 0.353 0.776
O7 0.312 0.028 0.621
O8 0.312 0.472 0.121
O9 0.444 0.712 0.376
O10 0.444 0.788 0.876
O11 0.556 0.212 0.124
O12 0.556 0.288 0.624
O13 0.688 0.528 0.879
O14 0.688 0.972 0.379
O15 0.724 0.647 0.224
O16 0.724 0.853 0.724
O17 0.810 0.511 0.616
O18 0.810 0.989 0.116
O19 0.941 0.208 0.400
O20 0.941 0.292 0.900

Largest 10 diffraction maxima, by angle, 2θ from 10° to 80°:
two_theta	d (Å)	I_rel
14.23	6.224	34
17.76	4.995	27
18.13	4.894	42
26.42	3.373	43
26.64	3.346	100
26.81	3.326	77
27.38	3.257	25
33.17	2.701	27
42.18	2.142	25
55.22	1.663	26

[3]
# Ba2B2O5
Calculated powder diffraction line list, CuKα. Input: a PBE-relaxed structure.
Intensities are scaled so that the largest is 100.

Atomic structure:
Cell: 11.025 4.248 13.441 Å, 90.00 105.90 90.00°
Fractional coordinates of all 36 atoms:
Ba1 0.084 0.222 0.413
Ba2 0.084 0.278 0.913
Ba3 0.395 0.737 0.860
Ba4 0.395 0.763 0.360
Ba5 0.605 0.237 0.640
Ba6 0.605 0.263 0.140
Ba7 0.916 0.722 0.087
Ba8 0.916 0.778 0.587
B1 0.196 0.177 0.183
B2 0.196 0.323 0.683
B3 0.326 0.657 0.576
B4 0.326 0.843 0.076
B5 0.674 0.157 0.924
B6 0.674 0.343 0.424
B7 0.804 0.677 0.317
B8 0.804 0.823 0.817
O1 0.081 0.210 0.112
O2 0.081 0.290 0.612
O3 0.223 0.217 0.783
O4 0.223 0.283 0.283
O5 0.234 0.719 0.486
O6 0.234 0.781 0.986
O7 0.299 0.013 0.160
O8 0.299 0.487 0.660
O9 0.450 0.738 0.590
O10 0.450 0.762 0.090
O11 0.550 0.238 0.910
O12 0.550 0.262 0.410
O13 0.701 0.513 0.340
O14 0.701 0.987 0.840
O15 0.766 0.219 0.014
O16 0.766 0.281 0.514
O17 0.777 0.717 0.717
O18 0.777 0.783 0.217
O19 0.919 0.710 0.388
O20 0.919 0.790 0.888

Largest 10 diffraction maxima, by angle, 2θ from 10° to 80°:
two_theta	d (Å)	I_rel
17.92	4.949	48
25.21	3.533	81
26.89	3.315	100
27.64	3.227	61
28.12	3.173	38
32.01	2.796	21
42.27	2.138	30
43.35	2.087	22
46.49	1.953	25
50.12	1.820	18